Record 1
Structure and theoretical powder XRD pattern of Ce4PuSe6 (a cell relaxed with PBE; Cu Kα, 1.54184 Å).
Neutral-atom scattering factors, no anomalous dispersion.

abc: 11.9034 11.9034 14.2942
angles: 90.00 90.00 120.00
Space group R-3c (No. 167, hexagonal axes)
Inequivalent atoms, fractional coordinates:
Ce 0.0000 0.0000 0.2500 [6 per cell]
Ce 0.0000 0.3848 0.2500 [18 per cell]
Pu 0.0000 0.0000 0.0000 [6 per cell]
Se 0.0283 0.2055 0.3839 [36 per cell]

Most intense lines, 2θ from 5° to 70°, low angle first:
d_spacing, 2theta, intensity, index
5.952, 14.9, 32, 1 1 0
5.874, 15.1, 32, 0 1 2
3.436, 25.9, 85, 3 0 0
2.937, 30.4, 74, 0 2 4
2.804, 31.9, 72, 1 3 1
2.655, 33.8, 35, 3 1 2
2.634, 34.0, 100, 2 1 4
2.524, 35.6, 73, 2 2 3
2.249, 40.1, 43, 4 1 0
1.972, 46.0, 53, 3 2 4
1.362, 69.0, 35, 3 5 4
1.350, 69.6, 23, 5 0 8



Record 2
Structure and theoretical powder XRD pattern of Ce6PuSe8 (a cell relaxed with PBE; Cu Kα, 1.54184 Å).
Neutral-atom scattering factors, no anomalous dispersion.

abc: 11.847 11.847 11.847
angles: 90.00 90.00 90.00
Space group Fm-3m (No. 225)
Inequivalent atoms, fractional coordinates:
Ce 0.000 0.250 0.250 [24 per cell]
Pu 0.000 0.000 0.000 [4 per cell]
Se 0.000 0.000 0.250 [24 per cell]
Se 0.250 0.250 0.250 [8 per cell]

Most intense lines, 2θ from 5° to 70°, low angle first:
d_spacing, 2theta, intensity, index
6.840, 12.9, 17, 1 1 1
3.572, 24.9, 12, 3 1 1
3.420, 26.1, 12, 2 2 2
2.962, 30.2, 100, 4 0 0
2.718, 33.0, 6, 3 3 1
2.280, 39.5, 5, 3 3 3
2.094, 43.2, 75, 4 4 0
2.003, 45.3, 5, 5 3 1
1.786, 51.1, 6, 6 2 2
1.710, 53.6, 26, 4 4 4
1.542, 60.0, 3, 7 3 1
1.481, 62.7, 12, 8 0 0



Record 3
Structure and theoretical powder XRD pattern of Ce3PuTh3Se8 (a cell relaxed with PBE; Cu Kα, 1.54184 Å).
Neutral-atom scattering factors, no anomalous dispersion.

abc: 8.3640 8.3640 20.5027
angles: 90.00 90.00 120.00
Space group R-3m (No. 166, hexagonal axes)
Inequivalent atoms, fractional coordinates:
Ce 0.0000 0.5000 0.0000 [9 per cell]
Pu 0.0000 0.0000 0.5000 [3 per cell]
Th 0.0000 0.5000 0.5000 [9 per cell]
Se 0.0000 0.0000 0.2511 [6 per cell]
Se 0.0033 0.5017 0.7490 [18 per cell]

Most intense lines, 2θ from 5° to 70°, low angle first:
d_spacing, 2theta, intensity, index
6.833, 13.0, 17, 0 0 3
3.567, 25.0, 13, 0 2 1
3.415, 26.1, 23, 2 0 2
2.958, 30.2, 100, 0 2 4
2.714, 33.0, 7, 2 0 5
2.277, 39.6, 5, 0 0 9
2.092, 43.3, 75, 2 2 0
2.000, 45.4, 5, 2 2 3
1.784, 51.2, 12, 2 2 6
1.708, 53.7, 27, 4 0 4
1.479, 62.8, 13, 0 4 8
1.357, 69.2, 5, 4 0 10



Record 4
Structure and theoretical powder XRD pattern of CeY2PuSe4 (a cell relaxed with PBE; Cu Kα, 1.54184 Å).
Neutral-atom scattering factors, no anomalous dispersion.

abc: 7.118 4.105 7.229
angles: 90.00 109.11 90.00
Space group P2/m (No. 10)
Inequivalent atoms, fractional coordinates:
Ce 0.000 0.000 0.000 [1 per cell]
Y 0.000 0.500 0.500 [1 per cell]
Y 0.500 0.000 0.500 [1 per cell]
Pu 0.500 0.500 0.000 [1 per cell]
Se 0.250 0.000 0.743 [2 per cell]
Se 0.255 0.500 0.259 [2 per cell]

Most intense lines, 2θ from 5° to 70°, low angle first:
d_spacing, 2theta, intensity, index
6.831, 13.0, 9, 0 0 1
3.510, 25.4, 4, 2 0 -1
3.504, 25.4, 5, 1 1 0
3.415, 26.1, 4, 0 0 2
3.360, 26.5, 10, 2 0 0
2.922, 30.6, 100, 1 1 1
2.686, 33.4, 5, 2 0 1
2.079, 43.5, 38, 2 0 2
2.054, 44.1, 36, 0 2 0
1.708, 53.7, 7, 0 0 4
1.680, 54.6, 19, 4 0 0
1.461, 63.7, 12, 2 2 2